The following is a computed powder X-ray diffraction pattern of SrAc3Au2. It was derived from a structure optimized by DFT (GGA-PBE), using λ = 1.5418 Å (Cu Kα).

Structure:
a = 5.357 Å, b = 9.737 Å, c = 8.079 Å
α = 90.00°, β = 90.00°, γ = 90.00°
Sites, in units of the cell vectors:
Sr: 0.000 0.079 0.000
Sr: 0.000 0.921 0.500
Ac: 0.000 0.336 0.633
Ac: 0.000 0.664 0.133
Ac: 0.500 0.170 0.341
Ac: 0.500 0.415 0.973
Ac: 0.500 0.585 0.473
Ac: 0.500 0.830 0.841
Au: 0.000 0.348 0.236
Au: 0.000 0.652 0.736
Au: 0.500 0.150 0.733
Au: 0.500 0.850 0.233

Principal peaks in the range 10° ≤ 2θ ≤ 90°, most intense first:
h k l  d [Å]  two_theta  Rel. int.
1 1 2  3.062  29.2  100
1 2 1  3.291  27.1  99
1 3 0  2.776  32.2  84
2 0 0  2.679  33.5  75
1 0 2  3.225  27.7  44
1 3 2  2.288  39.4  37
1 1 3  2.336  38.5  31
0 2 3  2.357  38.2  29
0 1 3  2.596  34.6  28
1 1 5  1.528  60.6  25
2 2 3  1.769  51.7  24
1 4 3  1.711  53.6  24